No. 1
Starting from a DFT-relaxed cell (GGA-PBE, OQMD), the X-ray diffraction stick pattern of DyErS2Br2 was simulated for CuKα.
Lines closer than 0.1° are merged.

Main lines, sorted by position (2θ from 10° to 80°):
| 2theta | intensity |
| --- | --- |
| 19.3 | 100 |
| 29.4 | 41 |
| 29.6 | 87 |
| 33.6 | 34 |
| 39.7 | 15 |
| 40.9 | 42 |
| 44.8 | 15 |
| 45.3 | 53 |
| 49.2 | 17 |
| 53.0 | 13 |
| 53.3 | 11 |
| 57.1 | 14 |

Crystal structure
abc: 4.0450 5.3401 9.0783
angles: 90.00 90.00 90.00
Fractional coordinates of all 6 atoms:
Dy: 0.0000 0.0000 0.0000
Er: 0.5000 0.5000 0.7471
S: 0.0000 0.5000 0.9475
S: 0.5000 0.0000 0.7957
Br: 0.0000 0.5000 0.5327
Br: 0.5000 0.0000 0.2173



No. 2
Starting from a DFT-relaxed cell (GGA-PBE, OQMD), the X-ray diffraction stick pattern of BiIr15 was simulated for CuKα.
Lines closer than 0.1° are merged.

Main lines, sorted by position (2θ from 10° to 80°):
| 2theta | intensity |
| --- | --- |
| 38.2 | 18 |
| 40.1 | 71 |
| 40.3 | 100 |
| 42.5 | 16 |
| 44.7 | 12 |
| 46.6 | 45 |
| 47.2 | 33 |
| 48.5 | 11 |
| 67.0 | 7 |
| 67.8 | 11 |
| 68.4 | 29 |
| 70.0 | 7 |

Crystal structure
abc: 7.7071 2.7655 35.7686
angles: 90.00 90.00 90.00
Fractional coordinates of all 32 atoms:
Bi: 0.1250 0.2500 0.2972
Bi: 0.8750 0.7500 0.7028
Ir: 0.1249 0.2500 0.0578
Ir: 0.1251 0.2500 0.1343
Ir: 0.1251 0.2500 0.2104
Ir: 0.1246 0.2500 0.8280
Ir: 0.1250 0.2500 0.9808
Ir: 0.1256 0.2500 0.9044
Ir: 0.1285 0.2500 0.7506
Ir: 0.3749 0.7500 0.0194
Ir: 0.3745 0.7500 0.1720
Ir: 0.3749 0.7500 0.7165
Ir: 0.3751 0.7500 0.7911
Ir: 0.3750 0.7500 0.8660
Ir: 0.3749 0.7500 0.9428
Ir: 0.3756 0.7500 0.0955
Ir: 0.3785 0.7500 0.2495
Ir: 0.6215 0.2500 0.7505
Ir: 0.6244 0.2500 0.9045
Ir: 0.6251 0.2500 0.0572
Ir: 0.6250 0.2500 0.1340
Ir: 0.6249 0.2500 0.2089
Ir: 0.6251 0.2500 0.2835
Ir: 0.6255 0.2500 0.8280
Ir: 0.6251 0.2500 0.9806
Ir: 0.8715 0.7500 0.2494
Ir: 0.8744 0.7500 0.0956
Ir: 0.8750 0.7500 0.0192
Ir: 0.8754 0.7500 0.1720
Ir: 0.8749 0.7500 0.7896
Ir: 0.8749 0.7500 0.8657
Ir: 0.8751 0.7500 0.9422



No. 3
Starting from a DFT-relaxed cell (GGA-PBE, OQMD), the X-ray diffraction stick pattern of DyTmBPb was simulated for CuKα.
Lines closer than 0.1° are merged.

Main lines, sorted by position (2θ from 10° to 80°):
| 2theta | intensity |
| --- | --- |
| 28.1 | 23 |
| 32.4 | 21 |
| 32.5 | 100 |
| 43.4 | 16 |
| 49.7 | 21 |
| 57.9 | 19 |
| 58.1 | 3 |
| 60.6 | 39 |
| 68.1 | 4 |
| 75.0 | 3 |
| 79.7 | 8 |
| 79.9 | 3 |

Crystal structure
abc: 3.6676 3.6676 16.5790
angles: 90.00 90.00 120.00
Fractional coordinates of all 8 atoms:
Dy: 0.0000 0.0000 0.1624
Dy: 0.0000 0.0000 0.8376
Tm: 0.3333 0.6667 0.3400
Tm: 0.3333 0.6667 0.6600
B: 0.6667 0.3333 0.2524
B: 0.6667 0.3333 0.7476
Pb: 0.0000 0.0000 0.5000
Pb: 0.3333 0.6667 0.0000



No. 4
Starting from a DFT-relaxed cell (GGA-PBE, OQMD), the X-ray diffraction stick pattern of Mg4Pa3 was simulated for CuKα.
Lines closer than 0.1° are merged.

Main lines, sorted by position (2θ from 10° to 80°):
| 2theta | intensity |
| --- | --- |
| 11.9 | 68 |
| 20.4 | 83 |
| 26.6 | 19 |
| 32.0 | 34 |
| 33.3 | 31 |
| 36.2 | 100 |
| 40.2 | 17 |
| 44.1 | 19 |
| 45.7 | 21 |
| 46.8 | 24 |
| 56.4 | 19 |
| 61.4 | 22 |

Crystal structure
abc: 8.5455 5.3809 8.5532
angles: 90.00 119.95 90.00
Fractional coordinates of all 14 atoms:
Mg: 0.0660 0.2500 0.2408
Mg: 0.1746 0.2500 0.9340
Mg: 0.2412 0.7500 0.1744
Mg: 0.3331 0.2500 0.6667
Mg: 0.6669 0.7500 0.3333
Mg: 0.7588 0.2500 0.8256
Mg: 0.8254 0.7500 0.0660
Mg: 0.9340 0.7500 0.7592
Pa: 0.1244 0.7500 0.5031
Pa: 0.3795 0.7500 0.8758
Pa: 0.4963 0.7500 0.6202
Pa: 0.5037 0.2500 0.3798
Pa: 0.6205 0.2500 0.1242
Pa: 0.8756 0.2500 0.4969



No. 5
Starting from a DFT-relaxed cell (GGA-PBE, OQMD), the X-ray diffraction stick pattern of Pm4GeS3 was simulated for CuKα.
Lines closer than 0.1° are merged.

Main lines, sorted by position (2θ from 10° to 80°):
| 2theta | intensity |
| --- | --- |
| 15.3 | 1 |
| 21.7 | 1 |
| 26.7 | 55 |
| 30.9 | 100 |
| 34.6 | 1 |
| 38.1 | 1 |
| 44.2 | 73 |
| 52.4 | 28 |
| 54.9 | 26 |
| 64.4 | 12 |
| 70.9 | 11 |
| 73.1 | 33 |

Crystal structure
abc: 5.7903 5.7903 5.7903
angles: 90.00 90.00 90.00
Fractional coordinates of all 8 atoms:
Pm: 0.0000 0.0000 0.0000
Pm: 0.0000 0.5000 0.5000
Pm: 0.5000 0.0000 0.5000
Pm: 0.5000 0.5000 0.0000
Ge: 0.5000 0.5000 0.5000
S: 0.0000 0.0000 0.5000
S: 0.0000 0.5000 0.0000
S: 0.5000 0.0000 0.0000



No. 6
Starting from a DFT-relaxed cell (GGA-PBE, OQMD), the X-ray diffraction stick pattern of Ac5Os2O12 was simulated for CuKα.
Lines closer than 0.1° are merged.

Main lines, sorted by position (2θ from 10° to 80°):
| 2theta | intensity |
| --- | --- |
| 25.5 | 97 |
| 26.5 | 100 |
| 30.7 | 43 |
| 30.8 | 40 |
| 31.2 | 19 |
| 32.2 | 22 |
| 37.4 | 22 |
| 42.7 | 25 |
| 42.7 | 20 |
| 45.2 | 23 |
| 52.6 | 19 |
| 68.8 | 18 |

Crystal structure
abc: 7.3346 7.3346 8.0204
angles: 105.67 105.67 49.86
Fractional coordinates of all 19 atoms:
Ac: 0.0000 0.0000 0.0000
Ac: 0.3091 0.3091 0.6654
Ac: 0.3109 0.3109 0.1449
Ac: 0.6891 0.6891 0.8551
Ac: 0.6909 0.6909 0.3346
Os: 0.2355 0.7645 0.5000
Os: 0.7645 0.2355 0.5000
O: 0.0008 0.0008 0.6775
O: 0.0941 0.5951 0.9205
O: 0.0979 0.5921 0.4242
O: 0.4049 0.9059 0.0795
O: 0.4079 0.9021 0.5758
O: 0.4993 0.4993 0.6607
O: 0.5007 0.5007 0.3393
O: 0.5921 0.0979 0.4242
O: 0.5951 0.0941 0.9205
O: 0.9021 0.4079 0.5758
O: 0.9059 0.4049 0.0795
O: 0.9992 0.9992 0.3225



No. 7
Starting from a DFT-relaxed cell (GGA-PBE, OQMD), the X-ray diffraction stick pattern of PuTcAs was simulated for CuKα.
Lines closer than 0.1° are merged.

Main lines, sorted by position (2θ from 10° to 80°):
| 2theta | intensity |
| --- | --- |
| 24.6 | 80 |
| 28.5 | 2 |
| 40.7 | 100 |
| 48.1 | 41 |
| 50.4 | 1 |
| 58.9 | 17 |
| 64.8 | 17 |
| 66.7 | 1 |
| 74.0 | 35 |
| 79.4 | 13 |

Crystal structure
abc: 6.2725 6.2725 6.2725
angles: 90.00 90.00 90.00
Fractional coordinates of all 12 atoms:
Pu: 0.0000 0.0000 0.0000
Pu: 0.0000 0.5000 0.5000
Pu: 0.5000 0.0000 0.5000
Pu: 0.5000 0.5000 0.0000
Tc: 0.2500 0.2500 0.2500
Tc: 0.2500 0.7500 0.7500
Tc: 0.7500 0.2500 0.7500
Tc: 0.7500 0.7500 0.2500
As: 0.2500 0.2500 0.7500
As: 0.2500 0.7500 0.2500
As: 0.7500 0.2500 0.2500
As: 0.7500 0.7500 0.7500



No. 8
Starting from a DFT-relaxed cell (GGA-PBE, OQMD), the X-ray diffraction stick pattern of Tb2PrAg4Sn4 was simulated for CuKα.
Lines closer than 0.1° are merged.

Main lines, sorted by position (2θ from 10° to 80°):
| 2theta | intensity |
| --- | --- |
| 31.5 | 100 |
| 32.7 | 74 |
| 35.0 | 16 |
| 35.7 | 16 |
| 39.4 | 36 |
| 40.4 | 24 |
| 43.0 | 17 |
| 43.1 | 14 |
| 53.7 | 13 |
| 57.6 | 24 |
| 64.6 | 13 |
| 70.9 | 15 |

Crystal structure
abc: 8.8444 8.8444 8.8444
angles: 150.03 130.19 59.23
Fractional coordinates of all 11 atoms:
Tb: 0.1279 0.1279 0.0000
Tb: 0.8721 0.8721 0.0000
Pr: 0.5000 0.0000 0.5000
Ag: 0.1328 0.3293 0.8035
Ag: 0.4742 0.6707 0.8035
Ag: 0.5258 0.3293 0.1965
Ag: 0.8672 0.6707 0.1965
Sn: 0.1917 0.5000 0.6917
Sn: 0.2821 0.7821 0.5000
Sn: 0.7179 0.2179 0.5000
Sn: 0.8083 0.5000 0.3083